Starting from a GGA-PBE-relaxed structure, the powder XRD pattern of Re2H8Pb was calculated for Cu Kα, 1.54184 Å.
No peak broadening, texture or thermal motion is included.

The 10 most intense peaks (2θ = 5–70°), by intensity:
d (Å)	I (rel.)
3.248	100
2.416	70
3.154	66
3.294	57
2.557	43
2.206	41
5.115	31
1.734	30
2.384	23
4.148	20

Cell and atoms:
a b c (Å): 4.7751 8.4069 5.1216
angles (deg): 90.00 92.94 90.00
Space group Cm (No. 8)
One atom of each set of equivalent atoms:
Re  0.0000  0.1775  0.0000 x4
H  0.0158  0.0000  0.2092 x2
H  0.0540  0.1564  0.6818 x4
H  0.1345  0.3630  0.8795 x4
H  0.1599  0.0000  0.8616 x2
H  0.3054  0.1786  0.2118 x4
Pb  0.1215  0.5000  0.4471 x2

***

Starting from a GGA-PBE-relaxed structure, the powder XRD pattern of H5Rh2Pb2 was calculated for Cu Kα, 1.54184 Å.
No peak broadening, texture or thermal motion is included.

The 10 most intense peaks (2θ = 5–70°), by intensity:
d (Å)	I (rel.)
2.636	100
2.845	59
2.257	42
1.624	27
2.335	23
5.695	23
1.372	15
3.376	13
2.539	13
2.901	13

Cell and atoms:
a b c (Å): 3.4060 5.5581 11.6529
angles (deg): 98.86 98.29 90.00
Space group P1 (No. 1)
One atom of each set of equivalent atoms:
H  0.0000  0.0000  0.0000 x1
H  0.0020  0.6222  0.0008 x1
H  0.0711  0.5493  0.1512 x1
H  0.0755  0.1712  0.1518 x1
H  0.2887  0.9949  0.5594 x1
H  0.3807  0.6592  0.6067 x1
H  0.5288  0.3368  0.0578 x1
H  0.5442  0.8341  0.0940 x1
H  0.8073  0.1776  0.5916 x1
H  0.8509  0.5138  0.5469 x1
Rh  0.0131  0.3198  0.0279 x1
Rh  0.0591  0.8514  0.1239 x1
Rh  0.2432  0.3312  0.5839 x1
Rh  0.7312  0.8425  0.5678 x1
Pb  0.1828  0.6056  0.3639 x1
Pb  0.4180  0.0754  0.8236 x1
Pb  0.6645  0.0941  0.3279 x1
Pb  0.9007  0.5646  0.7887 x1

***

Starting from a GGA-PBE-relaxed structure, the powder XRD pattern of H5Rh4Pb2 was calculated for Cu Kα, 1.54184 Å.
No peak broadening, texture or thermal motion is included.

The 10 most intense peaks (2θ = 5–70°), by intensity:
d (Å)	I (rel.)
2.237	100
2.046	97
2.813	87
2.520	86
2.559	75
2.469	70
2.530	58
4.402	58
5.060	49
2.759	47

Cell and atoms:
a b c (Å): 5.2585 5.2640 5.8240
angles (deg): 106.54 106.39 110.15
Space group P1 (No. 1)
One atom of each set of equivalent atoms:
H  0.0000  0.0000  0.0000 x1
H  0.0095  0.3468  0.2914 x1
H  0.0492  0.7436  0.2233 x1
H  0.4059  0.3862  0.2223 x1
H  0.6635  0.3369  0.0006 x1
Rh  0.2193  0.1573  0.3567 x1
Rh  0.2507  0.1583  0.8646 x1
Rh  0.8199  0.5568  0.3572 x1
Rh  0.8217  0.5875  0.8655 x1
Pb  0.3420  0.6788  0.7953 x1
Pb  0.6996  0.0370  0.4910 x1

***

Starting from a GGA-PBE-relaxed structure, the powder XRD pattern of H4RhPb was calculated for Cu Kα, 1.54184 Å.
No peak broadening, texture or thermal motion is included.

The 10 most intense peaks (2θ = 5–70°), by intensity:
d (Å)	I (rel.)
3.467	100
3.004	88
3.116	82
2.031	81
2.798	78
2.608	66
4.066	58
2.000	49
2.263	34
1.365	30

Cell and atoms:
a b c (Å): 11.4302 5.2160 4.6942
angles (deg): 90.00 105.37 90.00
Space group C2/m (No. 12)
One atom of each set of equivalent atoms:
H  0.0000  0.2158  0.0000 x4
H  0.1003  0.2085  0.5695 x8
H  0.2025  0.0000  0.2214 x4
Rh  0.0722  0.0000  0.2992 x4
Pb  0.1888  0.5000  0.2123 x4